Simulated powder XRD pattern
Compound: AcDy2Te3
Radiation: CuKα
Structure: a crystal structure in Alexandria, relaxed with PBE
Lines closer than 0.1° are merged.

Main lines, by angle (2θ = 10–90°):
2θ 25.74, I = 48
2θ 26.87, I = 100
2θ 29.69, I = 44
2θ 31.33, I = 88
2θ 35.00, I = 32
2θ 41.22, I = 42
2θ 41.50, I = 90
2θ 46.74, I = 19
2θ 50.13, I = 18
2θ 64.22, I = 29

Crystal structure
```
AcDy2Te3
1.0
7.5340 0.0000 0.0000
0.0000 4.3542 0.0000
-2.4839 0.0000 11.6601
Ac Dy Te
2 4 6
Cartesian
-0.6343 1.0885 3.8315 Ac
5.6844 3.2656 7.8286 Ac
-0.5974 1.0885 11.4983 Dy
1.8780 1.0885 7.8778 Dy
3.1721 3.2656 3.7823 Dy
5.6476 3.2656 0.1618 Dy
0.7676 3.2656 1.7329 Te
0.8410 3.2656 5.8781 Te
0.7954 3.2656 9.8375 Te
4.2547 1.0885 1.8226 Te
4.2092 1.0885 5.7820 Te
4.2825 1.0885 9.9272 Te
```

***

Simulated powder XRD pattern
Compound: TbMgGa2Au4
Radiation: CuKα
Structure: a crystal structure in Alexandria, relaxed with PBE
Lines closer than 0.1° are merged.

Main lines, by angle (2θ = 10–90°):
2θ 26.49, I = 39
2θ 28.53, I = 17
2θ 33.43, I = 23
2θ 36.19, I = 95
2θ 39.38, I = 100
2θ 54.55, I = 29
2θ 68.85, I = 18
2θ 69.33, I = 29
2θ 71.41, I = 18
2θ 84.73, I = 11

Crystal structure
```
TbMgGa2Au4
1.0
2.2880 1.3210 8.4921
-2.2880 1.3210 8.4921
0.0000 -2.6420 8.4921
Tb Mg Ga Au
1 1 2 4
Cartesian
0.0000 0.0000 0.0000 Tb
0.0000 0.0000 12.7381 Mg
0.0000 0.0000 6.3091 Ga
0.0000 0.0000 19.1672 Ga
0.0000 0.0000 3.3509 Au
0.0000 0.0000 9.9671 Au
0.0000 0.0000 15.5091 Au
0.0000 0.0000 22.1254 Au
```

***

Simulated powder XRD pattern
Compound: LaRu2W
Radiation: CuKα
Structure: a crystal structure in Alexandria, relaxed with PBE
Lines closer than 0.1° are merged.

Main lines, by angle (2θ = 10–90°):
2θ 25.78, I = 40
2θ 33.82, I = 56
2θ 35.35, I = 51
2θ 36.35, I = 100
2θ 39.32, I = 30
2θ 39.55, I = 69
2θ 42.17, I = 69
2θ 44.72, I = 38
2θ 53.00, I = 31
2θ 73.51, I = 32

Crystal structure
```
LaRu2W
1.0
3.1332 0.0000 0.0000
0.0000 4.5567 0.0000
-1.1891 0.0000 5.3012
La Ru W
1 2 1
Cartesian
0.0000 0.0000 0.0000 La
1.5790 2.2784 0.9099 Ru
1.4985 0.0000 2.6422 Ru
0.0625 2.2784 2.9082 W
```